# 1
Calculated powder diffraction line list of LiAcMg3 for Cu Ka, from the PBE geometry in Alexandria.

Crystal structure
a b c (Å): 7.2034 7.2034 12.0110
angles (deg): 90.00 90.00 120.00
Space group P6_3/mmc (No. 194)
Symmetry-distinct sites (fractional):
Li: 0.3333 0.6667 0.1365 (multiplicity 4)
Ac: 0.0000 0.0000 0.0000 (multiplicity 2)
Ac: 0.3333 0.6667 0.7500 (multiplicity 2)
Mg: 0.0000 0.5000 0.0000 (multiplicity 6)
Mg: 0.1446 0.2892 0.2500 (multiplicity 6)

The 12 most intense peaks (2θ from 10° to 80°), sorted by position:
2θ 16.01, intensity 630, (1 0 1)
2θ 20.53, intensity 1000, (1 0 2)
2θ 24.72, intensity 677, (1 1 0)
2θ 26.45, intensity 229, (1 0 3)
2θ 29.59, intensity 327, (2 0 1)
2θ 29.75, intensity 304, (0 0 4)
2θ 32.34, intensity 843, (2 0 2)
2θ 39.05, intensity 381, (1 1 4)
2θ 41.13, intensity 451, (2 1 2)
2θ 47.75, intensity 214, (1 0 6)
2θ 54.48, intensity 248, (2 0 6)
2θ 59.88, intensity 280, (2 2 4)


# 2
Calculated powder diffraction line list of Li6AcMg6 for Cu Ka, from the PBE geometry in Alexandria.

Crystal structure
a b c (Å): 5.5306 10.3743 10.4824
angles (deg): 90.00 90.00 90.00
Space group Immm (No. 71)
Symmetry-distinct sites (fractional):
Li: 0.0000 0.0000 0.2242 (multiplicity 4)
Li: 0.2500 0.2500 0.2500 (multiplicity 8)
Ac: 0.0000 0.5000 0.5000 (multiplicity 2)
Mg: 0.0000 0.1466 0.5000 (multiplicity 4)
Mg: 0.0000 0.2136 0.0000 (multiplicity 4)
Mg: 0.0000 0.5000 0.1460 (multiplicity 4)

The 12 most intense peaks (2θ from 10° to 80°), sorted by position:
2θ 12.00, intensity 839, (0 1 1)
2θ 16.92, intensity 569, (0 0 2)
2θ 17.09, intensity 279, (0 2 0)
2θ 18.16, intensity 1000, (1 1 0)
2θ 24.99, intensity 902, (1 2 1)
2θ 26.93, intensity 287, (0 1 3)
2θ 30.26, intensity 269, (1 0 3)
2θ 30.49, intensity 416, (1 3 0)
2θ 34.95, intensity 461, (1 2 3)
2θ 35.07, intensity 433, (1 3 2)
2θ 36.78, intensity 349, (2 0 2)
2θ 49.67, intensity 261, (2 3 3)


# 3
Calculated powder diffraction line list of LiAc3Mg for Cu Ka, from the PBE geometry in Alexandria.

Crystal structure
a b c (Å): 5.7583 22.0725 5.7703
angles (deg): 90.00 90.00 90.00
Space group Cmcm (No. 63)
Symmetry-distinct sites (fractional):
Li: 0.0000 0.1566 0.2500 (multiplicity 4)
Ac: 0.0000 0.0630 0.7500 (multiplicity 4)
Ac: 0.0000 0.2506 0.7500 (multiplicity 4)
Ac: 0.0000 0.4373 0.7500 (multiplicity 4)
Mg: 0.0000 0.3433 0.2500 (multiplicity 4)

The 12 most intense peaks (2θ from 10° to 80°), sorted by position:
2θ 22.18, intensity 633, (1 1 1)
2θ 24.19, intensity 250, (0 6 0)
2θ 29.84, intensity 1000, (1 5 1)
2θ 31.03, intensity 504, (2 0 0)
2θ 39.73, intensity 282, (2 6 0)
2θ 44.45, intensity 192, (2 0 2)
2θ 50.22, intensity 151, (3 1 1)
2θ 50.71, intensity 200, (1 11 1)
2θ 51.25, intensity 138, (2 6 2)
2θ 52.20, intensity 154, (2 10 0)
2θ 54.46, intensity 384, (3 5 1)
2θ 69.69, intensity 158, (3 11 1)


# 4
Calculated powder diffraction line list of Li2AcMgPb2 for Cu Ka, from the PBE geometry in Alexandria.

Crystal structure
a b c (Å): 4.8132 4.8132 7.7406
angles (deg): 90.00 90.00 120.00
Space group P-3m1 (No. 164)
Symmetry-distinct sites (fractional):
Li: 0.3333 0.6667 0.1510 (multiplicity 2)
Ac: 0.0000 0.0000 0.5000 (multiplicity 1)
Mg: 0.0000 0.0000 0.0000 (multiplicity 1)
Pb: 0.3333 0.6667 0.7663 (multiplicity 2)

The 12 most intense peaks (2θ from 10° to 80°), sorted by position:
2θ 11.43, intensity 111, (0 0 1)
2θ 24.25, intensity 1000, (0 1 1)
2θ 31.54, intensity 643, (1 0 2)
2θ 37.37, intensity 446, (1 1 0)
2θ 41.14, intensity 205, (1 0 3)
2θ 45.05, intensity 201, (2 0 1)
2θ 49.68, intensity 186, (0 2 2)
2θ 51.96, intensity 86, (1 1 3)
2θ 59.91, intensity 176, (1 2 1)
2θ 61.49, intensity 182, (1 1 4)
2θ 63.78, intensity 178, (2 1 2)
2θ 69.97, intensity 89, (2 1 3)


# 5
Calculated powder diffraction line list of LiAcMgPd2 for Cu Ka, from the PBE geometry in Alexandria.

Crystal structure
a b c (Å): 4.1584 4.1584 12.5858
angles (deg): 90.00 90.00 90.00
Space group I-4m2 (No. 119)
Symmetry-distinct sites (fractional):
Li: 0.0000 0.0000 0.0000 (multiplicity 2)
Ac: 0.0000 0.5000 0.2500 (multiplicity 2)
Mg: 0.0000 0.0000 0.5000 (multiplicity 2)
Pd: 0.0000 0.5000 0.6398 (multiplicity 4)

The 12 most intense peaks (2θ from 10° to 80°), sorted by position:
2θ 14.07, intensity 725, (0 0 2)
2θ 30.26, intensity 1000, (1 0 3)
2θ 30.40, intensity 767, (1 1 0)
2θ 33.64, intensity 604, (1 1 2)
2θ 41.96, intensity 707, (1 0 5)
2θ 43.53, intensity 383, (2 0 0)
2θ 45.97, intensity 160, (2 0 2)
2θ 53.93, intensity 402, (2 1 3)
2θ 62.05, intensity 446, (2 1 5)
2θ 63.25, intensity 126, (2 2 0)
2θ 71.75, intensity 218, (3 1 0)
2θ 73.58, intensity 128, (3 1 2)


# 6
Calculated powder diffraction line list of Li3Ac2MgZn4 for Cu Ka, from the PBE geometry in Alexandria.

Crystal structure
a b c (Å): 4.4992 4.4992 11.3106
angles (deg): 90.00 90.00 90.00
Space group P-4m2 (No. 115)
Symmetry-distinct sites (fractional):
Li: 0.0000 0.0000 0.0000 (multiplicity 1)
Li: 0.0000 0.5000 0.6150 (multiplicity 2)
Ac: 0.0000 0.5000 0.2702 (multiplicity 2)
Mg: 0.5000 0.5000 0.0000 (multiplicity 1)
Zn: 0.0000 0.0000 0.5000 (multiplicity 1)
Zn: 0.0000 0.5000 0.8509 (multiplicity 2)
Zn: 0.5000 0.5000 0.5000 (multiplicity 1)

The 12 most intense peaks (2θ from 10° to 80°), sorted by position:
2θ 15.67, intensity 280, (0 0 2)
2θ 21.25, intensity 662, (1 0 1)
2θ 25.30, intensity 256, (1 0 2)
2θ 28.05, intensity 304, (1 1 0)
2θ 30.95, intensity 583, (1 0 3)
2θ 32.29, intensity 1000, (1 1 2)
2θ 40.08, intensity 399, (2 0 0)
2θ 44.85, intensity 250, (1 0 5)
2θ 45.80, intensity 190, (2 1 1)
2θ 51.48, intensity 288, (2 1 3)
2θ 61.70, intensity 193, (2 1 5)
2θ 67.94, intensity 234, (3 1 2)


# 7
Calculated powder diffraction line list of LiAc2MnN4 for Cu Ka, from the PBE geometry in Alexandria.

Crystal structure
a b c (Å): 5.7572 5.7572 7.3207
angles (deg): 90.00 90.00 90.00
Space group I-42m (No. 121)
Symmetry-distinct sites (fractional):
Li: 0.0000 0.0000 0.0000 (multiplicity 2)
Ac: 0.0000 0.5000 0.2500 (multiplicity 4)
Mn: 0.0000 0.0000 0.5000 (multiplicity 2)
N: 0.2248 0.2248 0.5334 (multiplicity 8)

The 12 most intense peaks (2θ from 10° to 80°), sorted by position:
2θ 21.83, intensity 763, (1 1 0)
2θ 24.32, intensity 217, (0 0 2)
2θ 31.07, intensity 459, (2 0 0)
2θ 32.91, intensity 1000, (1 1 2)
2θ 39.84, intensity 426, (2 0 2)
2θ 44.51, intensity 257, (2 2 0)
2θ 50.10, intensity 185, (3 1 0)
2θ 51.36, intensity 138, (2 2 2)
2θ 55.01, intensity 139, (1 1 4)
2θ 56.45, intensity 430, (3 1 2)
2θ 59.89, intensity 164, (2 0 4)
2θ 69.01, intensity 131, (2 2 4)


# 8
Calculated powder diffraction line list of LiAcMnSe3 for Cu Ka, from the PBE geometry in Alexandria.

Crystal structure
a b c (Å): 7.9913 4.1774 9.0566
angles (deg): 90.00 106.67 90.00
Space group P2_1/m (No. 11)
Symmetry-distinct sites (fractional):
Li: 0.1041 0.2500 0.1009 (multiplicity 2)
Ac: 0.2142 0.2500 0.7470 (multiplicity 2)
Mn: 0.3244 0.7500 0.3494 (multiplicity 2)
Se: 0.0976 0.2500 0.3727 (multiplicity 2)
Se: 0.2374 0.7500 0.0229 (multiplicity 2)
Se: 0.4519 0.7500 0.6531 (multiplicity 2)

The 12 most intense peaks (2θ from 10° to 80°), sorted by position:
2θ 13.04, intensity 298, (1 0 -1)
2θ 17.51, intensity 304, (1 0 1)
2θ 20.47, intensity 291, (0 0 2)
2θ 23.24, intensity 268, (2 0 0)
2θ 23.64, intensity 247, (0 1 1)
2θ 29.68, intensity 667, (1 1 -2)
2θ 31.18, intensity 1000, (2 1 -1)
2θ 31.71, intensity 341, (2 1 0)
2θ 34.11, intensity 348, (1 1 2)
2θ 39.61, intensity 227, (2 1 -3)
2θ 43.32, intensity 302, (0 2 0)
2θ 45.55, intensity 351, (4 0 -1)